Starting from a cell relaxed with GGA-PBE, the X-ray powder pattern of Fe2RuPt9 was calculated for Cu Kα (weighted mean of Kα1 and Kα2).

Largest 12 diffraction maxima, by intensity, 2θ = 15–90°:
(1 1 3), 39.80°, rel. 100; (2 0 0), 46.25°, rel. 33; (3 1 3), 81.29°, rel. 26; (2 0 6), 67.57°, rel. 21; (0 0 6), 46.38°, rel. 16; (1 1 9), 81.49°, rel. 13; (2 2 6), 85.81°, rel. 11; (2 2 0), 67.47°, rel. 11; (1 0 0), 22.67°, rel. 10; (1 1 0), 32.27°, rel. 9; (2 1 3), 57.55°, rel. 4; (2 1 0), 52.10°, rel. 3

Cell and atoms:
a b c (Å): 3.9262 3.9262 11.7470
angles (deg): 90.00 90.00 90.00
Space group P4/mmm (No. 123)
Asymmetric unit:
Fe  0.0000  0.0000  0.1675 [2 per cell]
Ru  0.0000  0.0000  0.5000 [1 per cell]
Pt  0.0000  0.5000  0.0000 [2 per cell]
Pt  0.0000  0.5000  0.3305 [4 per cell]
Pt  0.5000  0.5000  0.1648 [2 per cell]
Pt  0.5000  0.5000  0.5000 [1 per cell]